The following is a theoretical XRD peak list of InBiBr. It was derived from a cell relaxed with PBE, using Cu Kα (λ = 1.5418 Å).

Structural model:
```
data_InBiBr
_chemical_formula_sum 'In4 Bi4 Br4'
_symmetry_space_group_name_H-M 'P 21 21 21'
_symmetry_Int_Tables_number 19
_symmetry_space_group_name_Hall 'P 2ac 2ab'
_cell_length_a 3.7159
_cell_length_b 7.1837
_cell_length_c 14.9423
_cell_angle_alpha 90.00
_cell_angle_beta 90.00
_cell_angle_gamma 90.00
loop_
_atom_site_label
_atom_site_fract_x
_atom_site_fract_y
_atom_site_fract_z
In1 0.2491 0.2337 0.1193
Bi1 0.2484 0.5564 0.9886
Br1 0.2493 0.2076 0.7442
```

Most intense lines, 15 to 90 degrees two-theta, sorted by position:
d 4.093, intensity 43
d 3.301, intensity 35
d 3.237, intensity 63
d 3.019, intensity 100
d 2.754, intensity 87
d 2.589, intensity 28
d 2.545, intensity 32
d 2.473, intensity 41
d 2.364, intensity 39
d 1.988, intensity 28

The following is a theoretical XRD peak list of NdSmDy2Sc. It was derived from a cell relaxed with PBE, using Cu Kα (λ = 1.5418 Å).

Structural model:
```
data_NdSmDy2Sc
_chemical_formula_sum 'Nd4 Sm4 Dy8 Sc4'
_symmetry_space_group_name_H-M 'C m c m'
_symmetry_Int_Tables_number 63
_symmetry_space_group_name_Hall '-C 2c 2'
_cell_length_a 6.4002
_cell_length_b 15.9755
_cell_length_c 6.3948
_cell_angle_alpha 90.00
_cell_angle_beta 90.00
_cell_angle_gamma 90.00
loop_
_atom_site_label
_atom_site_fract_x
_atom_site_fract_y
_atom_site_fract_z
Nd1 0.0000 0.1626 0.2500
Sm1 0.0000 0.2500 0.7500
Dy1 0.2489 0.5000 0.0000
Sc1 0.0000 0.3481 0.2500
```

Most intense lines, 15 to 90 degrees two-theta, sorted by position:
d 3.994, intensity 21
d 3.448, intensity 15
d 2.970, intensity 100
d 2.610, intensity 25
d 2.497, intensity 17
d 2.262, intensity 34
d 1.968, intensity 13
d 1.709, intensity 14
d 1.429, intensity 14
d 1.408, intensity 21